1.
The following is a simulated X-ray diffraction stick pattern of Rb2RhCCl6. It was derived from DFT lattice parameters and positions (GGA-PBE), using Cu Kα X-rays.
Kinematic intensities with the Lorentz-polarization factor, no thermal factor.

The 8 most intense peaks (2θ from 15° to 90°), low angle first:
hkl 1 0 1, 15.25 deg, 5.810 Å, intensity 57.8
hkl 2 0 0, 22.43 deg, 3.964 Å, intensity 58.6
hkl 1 1 2, 26.24 deg, 3.396 Å, intensity 85.3
hkl 2 0 2, 30.78 deg, 2.905 Å, intensity 57.1
hkl 2 2 0, 31.93 deg, 2.803 Å, intensity 100.0
hkl 3 1 2, 41.78 deg, 2.162 Å, intensity 37.7
hkl 4 0 0, 45.78 deg, 1.982 Å, intensity 29.9
hkl 2 2 4, 54.00 deg, 1.698 Å, intensity 31.7

Cell: 7.928 7.928 8.538 Å, 90.00 90.00 90.00°
Space group I4/mmm (No. 139)
Inequivalent atoms, fractional coordinates:
Rb 0.000 0.500 0.250 x4
Rh 0.000 0.000 0.000 x2
C 0.000 0.000 0.500 x2
Cl 0.000 0.000 0.303 x4
Cl 0.212 0.212 0.000 x8



2.
The following is a simulated X-ray diffraction stick pattern of Rb2LiPuCl4O2. It was derived from DFT lattice parameters and positions (GGA-PBE), using Cu Kα X-rays.
Kinematic intensities with the Lorentz-polarization factor, no thermal factor.

The 8 most intense peaks (2θ from 15° to 90°), low angle first:
hkl 0 1 1, 15.76 deg, 5.624 Å, intensity 50.3
hkl 1 1 0, 18.48 deg, 4.800 Å, intensity 100.0
hkl 1 0 1, 19.40 deg, 4.576 Å, intensity 73.4
hkl 0 2 1, 27.26 deg, 3.271 Å, intensity 57.0
hkl 1 1 2, 27.61 deg, 3.230 Å, intensity 53.6
hkl 1 -1 1, 28.95 deg, 3.084 Å, intensity 45.4
hkl 2 1 0, 29.77 deg, 3.001 Å, intensity 41.0
hkl 1 0 -2, 32.15 deg, 2.784 Å, intensity 53.8

Cell: 6.393 6.736 7.004 Å, 65.93 82.21 77.20°
Space group P1 (No. 1)
Inequivalent atoms, fractional coordinates:
Rb 0.000 0.000 0.000 x1
Rb 0.474 0.373 0.220 x1
Li 0.837 0.513 0.539 x1
Pu 0.237 0.708 0.605 x1
Cl 0.013 0.145 0.451 x1
Cl 0.517 0.307 0.730 x1
Cl 0.584 0.817 0.316 x1
Cl 0.909 0.542 0.870 x1
O 0.122 0.645 0.413 x1
O 0.336 0.763 0.807 x1



3.
The following is a simulated X-ray diffraction stick pattern of Dy3ThC3. It was derived from DFT lattice parameters and positions (GGA-PBE), using Cu Kα X-rays.
Kinematic intensities with the Lorentz-polarization factor, no thermal factor.

The 8 most intense peaks (2θ from 15° to 90°), low angle first:
hkl 2 2 2, 29.68 deg, 3.010 Å, intensity 100.0
hkl 4 0 0, 34.40 deg, 2.607 Å, intensity 61.3
hkl 4 4 0, 49.44 deg, 1.843 Å, intensity 42.5
hkl 6 2 2, 58.73 deg, 1.572 Å, intensity 42.8
hkl 4 4 4, 61.62 deg, 1.505 Å, intensity 14.1
hkl 8 0 0, 72.52 deg, 1.303 Å, intensity 6.3
hkl 6 6 2, 80.26 deg, 1.196 Å, intensity 16.5
hkl 8 4 0, 82.79 deg, 1.166 Å, intensity 17.4

Cell: 10.428 10.428 10.428 Å, 90.00 90.00 90.00°
Space group I4_132 (No. 214)
Inequivalent atoms, fractional coordinates:
Dy 0.114 0.375 0.364 x24
Th 0.125 0.125 0.125 x8
C 0.121 0.125 0.871 x24



4.
The following is a simulated X-ray diffraction stick pattern of Sm2YHo3. It was derived from DFT lattice parameters and positions (GGA-PBE), using Cu Kα X-rays.
Kinematic intensities with the Lorentz-polarization factor, no thermal factor.

The 8 most intense peaks (2θ from 15° to 90°), low angle first:
hkl 3 1 0, 28.25 deg, 3.160 Å, intensity 39.1
hkl 6 0 -3, 30.55 deg, 2.926 Å, intensity 79.7
hkl 2 0 3, 31.20 deg, 2.867 Å, intensity 79.2
hkl 8 0 0, 32.54 deg, 2.752 Å, intensity 100.0
hkl 5 1 0, 32.68 deg, 2.740 Å, intensity 53.1
hkl 5 1 -2, 34.28 deg, 2.616 Å, intensity 28.0
hkl 3 1 -3, 36.99 deg, 2.430 Å, intensity 31.6
hkl 2 2 3, 62.15 deg, 1.494 Å, intensity 27.0

Cell: 23.202 3.501 10.219 Å, 90.00 108.39 90.00°
Space group C2/m (No. 12)
Inequivalent atoms, fractional coordinates:
Sm 0.069 0.000 0.137 x4
Sm 0.192 0.500 0.371 x4
Y 0.188 0.500 0.037 x4
Ho 0.059 0.500 0.444 x4
Ho 0.069 0.000 0.765 x4
Ho 0.195 0.500 0.715 x4



5.
The following is a simulated X-ray diffraction stick pattern of Pr8AlSi3I4. It was derived from DFT lattice parameters and positions (GGA-PBE), using Cu Kα X-rays.
Kinematic intensities with the Lorentz-polarization factor, no thermal factor.

The 8 most intense peaks (2θ from 15° to 90°), low angle first:
hkl 0 2 1, 23.70 deg, 3.753 Å, intensity 13.6
hkl 0 2 4, 28.04 deg, 3.182 Å, intensity 100.0
hkl 2 0 5, 30.37 deg, 2.943 Å, intensity 25.0
hkl 2 0 8, 39.02 deg, 2.308 Å, intensity 29.6
hkl 2 2 0, 41.11 deg, 2.196 Å, intensity 39.1
hkl 4 0 4, 50.50 deg, 1.807 Å, intensity 19.3
hkl 2 2 9, 54.89 deg, 1.673 Å, intensity 17.6
hkl 2 4 4, 67.07 deg, 1.395 Å, intensity 16.4

Cell: 8.7836 8.7836 23.2337 Å, 90.00 90.00 120.00°
Space group R-3m (No. 166, hexagonal axes)
Inequivalent atoms, fractional coordinates:
Pr 0.0000 0.0000 0.2327 x6
Pr 0.0060 0.5030 0.7652 x18
Al 0.0000 0.0000 0.5000 x3
Si 0.0000 0.5000 0.5000 x9
I 0.0000 0.0000 0.0000 x3
I 0.0000 0.5000 0.0000 x9



6.
The following is a simulated X-ray diffraction stick pattern of AcNd2Tm. It was derived from DFT lattice parameters and positions (GGA-PBE), using Cu Kα X-rays.
Kinematic intensities with the Lorentz-polarization factor, no thermal factor.

The 8 most intense peaks (2θ from 15° to 90°), low angle first:
hkl 0 1 2, 28.07 deg, 3.178 Å, intensity 26.1
hkl 0 0 12, 29.64 deg, 3.014 Å, intensity 46.1
hkl 0 1 5, 30.32 deg, 2.948 Å, intensity 100.0
hkl 1 0 7, 32.71 deg, 2.738 Å, intensity 69.0
hkl 1 0 10, 37.34 deg, 2.408 Å, intensity 18.6
hkl 1 1 0, 48.86 deg, 1.864 Å, intensity 36.9
hkl 0 1 17, 51.44 deg, 1.776 Å, intensity 24.8
hkl 1 1 12, 58.19 deg, 1.585 Å, intensity 41.9

Cell: 3.7282 3.7282 36.1623 Å, 90.00 90.00 120.00°
Space group R3m (No. 160, hexagonal axes)
Inequivalent atoms, fractional coordinates:
Ac 0.0000 0.0000 0.0000 x3
Nd 0.0000 0.0000 0.2454 x3
Nd 0.0000 0.0000 0.4211 x3
Tm 0.0000 0.0000 0.8334 x3



7.
The following is a simulated X-ray diffraction stick pattern of Cs3HS2F12. It was derived from DFT lattice parameters and positions (GGA-PBE), using Cu Kα X-rays.
Kinematic intensities with the Lorentz-polarization factor, no thermal factor.

The 8 most intense peaks (2θ from 15° to 90°), low angle first:
hkl 0 2 1, 21.63 deg, 4.108 Å, intensity 100.0
hkl 2 0 1, 22.11 deg, 4.021 Å, intensity 66.8
hkl 1 2 1, 23.32 deg, 3.815 Å, intensity 67.9
hkl 2 1 1, 23.65 deg, 3.762 Å, intensity 54.1
hkl 2 2 0, 24.04 deg, 3.701 Å, intensity 45.0
hkl 3 1 0, 27.32 deg, 3.264 Å, intensity 36.4
hkl 0 0 2, 27.67 deg, 3.224 Å, intensity 43.8
hkl 2 2 2, 36.98 deg, 2.431 Å, intensity 97.5

Cell: 10.287 10.660 6.448 Å, 90.00 90.00 90.00°
Space group Pba2 (No. 32)
Inequivalent atoms, fractional coordinates:
Cs 0.000 0.000 0.000 x2
Cs 0.208 0.291 0.498 x4
H 0.000 0.000 0.500 x2
S 0.122 0.602 0.998 x4
F 0.016 0.894 0.500 x4
F 0.040 0.688 0.186 x4
F 0.041 0.686 0.807 x4
F 0.224 0.536 0.199 x4
F 0.225 0.534 0.801 x4
F 0.228 0.716 0.998 x4



8.
The following is a simulated X-ray diffraction stick pattern of CuHg4S5. It was derived from DFT lattice parameters and positions (GGA-PBE), using Cu Kα X-rays.
Kinematic intensities with the Lorentz-polarization factor, no thermal factor.

The 8 most intense peaks (2θ from 15° to 90°), low angle first:
hkl 1 0 0, 25.05 deg, 3.555 Å, intensity 46.1
hkl 0 0 10, 26.00 deg, 3.427 Å, intensity 27.5
hkl 1 0 5, 28.28 deg, 3.156 Å, intensity 100.0
hkl 1 0 10, 36.42 deg, 2.467 Å, intensity 18.6
hkl 1 1 0, 44.13 deg, 2.052 Å, intensity 39.0
hkl 0 1 15, 47.30 deg, 1.922 Å, intensity 23.7
hkl 1 1 10, 51.93 deg, 1.761 Å, intensity 25.6
hkl 0 2 5, 53.24 deg, 1.720 Å, intensity 18.2

Cell: 4.1047 4.1047 34.2695 Å, 90.00 90.00 120.00°
Space group P3m1 (No. 156)
Inequivalent atoms, fractional coordinates:
Cu 0.0000 0.0000 0.0000 x1
Cu 0.0000 0.0000 0.1877 x1
Hg 0.0000 0.0000 0.3819 x1
Hg 0.0000 0.0000 0.5908 x1
Hg 0.0000 0.0000 0.7995 x1
Hg 0.3333 0.6667 0.0903 x1
Hg 0.3333 0.6667 0.2766 x1
Hg 0.3333 0.6667 0.4864 x1
Hg 0.3333 0.6667 0.6951 x1
Hg 0.3333 0.6667 0.9040 x1
S 0.0000 0.0000 0.1208 x1
S 0.0000 0.0000 0.3078 x1
S 0.0000 0.0000 0.5162 x1
S 0.0000 0.0000 0.7245 x1
S 0.0000 0.0000 0.9330 x1
S 0.3333 0.6667 0.0163 x1
S 0.3333 0.6667 0.2031 x1
S 0.3333 0.6667 0.4120 x1
S 0.3333 0.6667 0.6204 x1
S 0.3333 0.6667 0.8286 x1



9.
The following is a simulated X-ray diffraction stick pattern of SmGa2PdPt2. It was derived from DFT lattice parameters and positions (GGA-PBE), using Cu Kα X-rays.
Kinematic intensities with the Lorentz-polarization factor, no thermal factor.

The 8 most intense peaks (2θ from 15° to 90°), low angle first:
hkl 1 0 1, 27.11 deg, 3.289 Å, intensity 48.7
hkl 0 1 2, 36.05 deg, 2.491 Å, intensity 100.0
hkl 1 1 0, 41.24 deg, 2.189 Å, intensity 90.7
hkl 0 2 1, 50.02 deg, 1.824 Å, intensity 16.2
hkl 2 0 2, 55.91 deg, 1.644 Å, intensity 28.2
hkl 1 1 4, 71.55 deg, 1.319 Å, intensity 16.0
hkl 1 2 2, 71.79 deg, 1.315 Å, intensity 26.7
hkl 3 0 0, 75.17 deg, 1.264 Å, intensity 15.4

Cell: 4.3786 4.3786 6.6083 Å, 90.00 90.00 120.00°
Space group P-3m1 (No. 164)
Inequivalent atoms, fractional coordinates:
Sm 0.0000 0.0000 0.0000 x1
Ga 0.3333 0.6667 0.3181 x2
Pd 0.0000 0.0000 0.5000 x1
Pt 0.3333 0.6667 0.7213 x2



10.
The following is a simulated X-ray diffraction stick pattern of CsLaPb4. It was derived from DFT lattice parameters and positions (GGA-PBE), using Cu Kα X-rays.
Kinematic intensities with the Lorentz-polarization factor, no thermal factor.

The 8 most intense peaks (2θ from 15° to 90°), low angle first:
hkl 1 1 1, 16.23 deg, 5.461 Å, intensity 20.6
hkl 2 2 0, 26.66 deg, 3.344 Å, intensity 15.3
hkl 3 1 1, 31.37 deg, 2.852 Å, intensity 100.0
hkl 2 2 2, 32.80 deg, 2.730 Å, intensity 55.7
hkl 3 3 3, 50.12 deg, 1.820 Å, intensity 36.8
hkl 4 4 0, 54.91 deg, 1.672 Å, intensity 34.6
hkl 6 2 2, 65.46 deg, 1.426 Å, intensity 23.8
hkl 7 3 1, 77.52 deg, 1.231 Å, intensity 23.6

Cell: 9.458 9.458 9.458 Å, 90.00 90.00 90.00°
Space group F-43m (No. 216)
Inequivalent atoms, fractional coordinates:
Cs 0.000 0.000 0.000 x4
La 0.250 0.250 0.250 x4
Pb 0.123 0.123 0.623 x16



11.
The following is a simulated X-ray diffraction stick pattern of KAl2Rh2. It was derived from DFT lattice parameters and positions (GGA-PBE), using Cu Kα X-rays.
Kinematic intensities with the Lorentz-polarization factor, no thermal factor.

The 8 most intense peaks (2θ from 15° to 90°), low angle first:
hkl 1 1 0, 16.30 deg, 5.436 Å, intensity 23.7
hkl 2 1 0, 25.91 deg, 3.438 Å, intensity 61.2
hkl 0 0 1, 31.04 deg, 2.881 Å, intensity 25.7
hkl 3 1 0, 36.97 deg, 2.431 Å, intensity 58.0
hkl 2 1 1, 40.87 deg, 2.208 Å, intensity 100.0
hkl 4 0 0, 47.29 deg, 1.922 Å, intensity 15.4
hkl 3 1 1, 49.03 deg, 1.858 Å, intensity 23.4
hkl 5 2 1, 74.12 deg, 1.279 Å, intensity 25.7

Cell: 7.688 7.688 2.881 Å, 90.00 90.00 90.00°
Space group P4/mbm (No. 127)
Inequivalent atoms, fractional coordinates:
K 0.000 0.000 0.000 x2
Al 0.137 0.363 0.500 x4
Rh 0.145 0.645 0.000 x4



12.
The following is a simulated X-ray diffraction stick pattern of Nd4HgPd3. It was derived from DFT lattice parameters and positions (GGA-PBE), using Cu Kα X-rays.
Kinematic intensities with the Lorentz-polarization factor, no thermal factor.

The 8 most intense peaks (2θ from 15° to 90°), low angle first:
hkl 1 1 1, 30.79 deg, 2.904 Å, intensity 100.0
hkl 0 0 4, 32.06 deg, 2.792 Å, intensity 28.0
hkl 1 0 3, 33.31 deg, 2.690 Å, intensity 20.6
hkl 0 1 4, 37.38 deg, 2.406 Å, intensity 25.0
hkl 0 2 0, 37.97 deg, 2.369 Å, intensity 34.4
hkl 1 1 3, 38.48 deg, 2.339 Å, intensity 71.2
hkl 2 0 0, 46.68 deg, 1.946 Å, intensity 19.1
hkl 2 2 0, 61.68 deg, 1.504 Å, intensity 16.6

Cell: 3.891 4.739 11.168 Å, 90.00 90.00 90.00°
Space group Pmm2 (No. 25)
Inequivalent atoms, fractional coordinates:
Nd 0.000 0.000 0.000 x1
Nd 0.000 0.500 0.262 x1
Nd 0.500 0.000 0.477 x1
Nd 0.500 0.500 0.771 x1
Hg 0.000 0.000 0.707 x1
Pd 0.000 0.500 0.539 x1
Pd 0.500 0.000 0.211 x1
Pd 0.500 0.500 0.044 x1